[1]
This entry pairs a crystal structure of Ce4Tc7Ge6 with its simulated XRD peak list. Radiation: λ = 1.5418 Å (Cu Kα). Structure: a PBE-relaxed structure.

Structure:
```
Ce4Tc7Ge6
1.0
-4.2433 4.2433 4.2433
4.2433 -4.2433 4.2433
4.2433 4.2433 -4.2433
Ce Tc Ge
4 7 6
Direct
0.0000 0.0000 0.5000
0.0000 0.5000 0.0000
0.5000 0.0000 0.0000
0.5000 0.5000 0.5000
0.0000 0.0000 0.0000
0.2500 0.5000 0.7500
0.2500 0.7500 0.5000
0.5000 0.2500 0.7500
0.5000 0.7500 0.2500
0.7500 0.2500 0.5000
0.7500 0.5000 0.2500
0.0000 0.3129 0.3129
0.0000 0.6871 0.6871
0.3129 0.0000 0.3129
0.3129 0.3129 0.0000
0.6871 0.0000 0.6871
0.6871 0.6871 0.0000
```

Most intense lines, 10° ≤ 2θ ≤ 90°, most intense first:
d (Å)	Position (°2θ)	I/Imax
2.450	36.68	100
2.122	42.61	63
1.500	61.84	33
1.279	74.11	27
3.000	29.78	21
2.268	39.74	19

***

[2]
This entry pairs a crystal structure of CeTcGe3 with its simulated XRD peak list. Radiation: λ = 1.5418 Å (Cu Kα). Structure: a PBE-relaxed structure.

Structure:
```
CeTcGe3
1.0
4.3926 0.0000 0.0000
0.0000 4.3926 0.0000
0.0000 0.0000 10.4276
Ce Tc Ge
2 2 6
Direct
0.0000 0.0000 0.0000
0.5000 0.5000 0.5000
0.0000 0.0000 0.6687
0.5000 0.5000 0.1687
0.0000 0.0000 0.4406
0.0000 0.5000 0.2721
0.0000 0.5000 0.7721
0.5000 0.0000 0.2721
0.5000 0.0000 0.7721
0.5000 0.5000 0.9406
```

Most intense lines, 10° ≤ 2θ ≤ 90°, most intense first:
d (Å)	Position (°2θ)	I/Imax
2.668	33.58	100
2.196	41.10	70
2.726	32.86	58
1.997	45.42	29
1.710	53.59	28
3.106	28.74	23

***

[3]
This entry pairs a crystal structure of Ce5Tc2Ge with its simulated XRD peak list. Radiation: λ = 1.5418 Å (Cu Kα). Structure: a PBE-relaxed structure.

Structure:
```
Ce5Tc2Ge
1.0
2.2267 -5.4799 0.0000
2.2267 5.4799 0.0000
0.0000 0.0000 15.4197
Ce Tc Ge
10 4 2
Direct
0.0791 0.9209 0.6120
0.0791 0.9209 0.8880
0.2150 0.7850 0.2500
0.3987 0.6013 0.5731
0.3987 0.6013 0.9269
0.6013 0.3987 0.0731
0.6013 0.3987 0.4269
0.7850 0.2150 0.7500
0.9209 0.0791 0.1120
0.9209 0.0791 0.3880
0.2470 0.7530 0.0830
0.2470 0.7530 0.4170
0.7530 0.2470 0.5830
0.7530 0.2470 0.9170
0.4995 0.5005 0.7500
0.5005 0.4995 0.2500
```

Most intense lines, 10° ≤ 2θ ≤ 90°, most intense first:
d (Å)	Position (°2θ)	I/Imax
2.475	36.30	100
2.778	32.22	96
2.570	34.91	49
2.227	40.51	47
1.683	54.53	27
3.217	27.73	24

***

[4]
This entry pairs a crystal structure of Ce6TcGe3 with its simulated XRD peak list. Radiation: λ = 1.5418 Å (Cu Kα). Structure: a PBE-relaxed structure.

Structure:
```
Ce6TcGe3
1.0
5.5253 3.1900 4.8237
-5.5253 3.1900 4.8237
0.0000 -6.3801 4.8237
Ce Tc Ge
12 2 6
Direct
0.0107 0.0107 0.3325
0.0107 0.3325 0.0107
0.2753 0.2753 0.6177
0.2753 0.6177 0.2753
0.3325 0.0107 0.0107
0.3823 0.7247 0.7247
0.6177 0.2753 0.2753
0.6675 0.9893 0.9893
0.7247 0.3823 0.7247
0.7247 0.7247 0.3823
0.9893 0.6675 0.9893
0.9893 0.9893 0.6675
0.0000 0.0000 0.0000
0.5000 0.5000 0.5000
0.0282 0.6109 0.6109
0.3891 0.3891 0.9718
0.3891 0.9718 0.3891
0.6109 0.0282 0.6109
0.6109 0.6109 0.0282
0.9718 0.3891 0.3891
```

Most intense lines, 10° ≤ 2θ ≤ 90°, most intense first:
d (Å)	Position (°2θ)	I/Imax
2.661	33.68	100
1.842	49.49	31
3.190	27.97	25
2.611	34.35	17
2.558	35.08	16
1.514	61.20	14

***

- Number 4 is which compound?
  Ce6TcGe3